The following is a calculated X-ray powder pattern of ErMgSn. It was derived from a cell relaxed with GGA-PBE, using copper Kα.

Principal peaks in the range 15 to 90 degrees two-theta, in order of rising 2θ:
2θ = 22.44°, d 3.962, rel. 390, (0 0 4); 2θ = 28.86°, d 3.094, rel. 1000, (1 1 0); 2θ = 31.03°, d 2.882, rel. 401, (1 1 2); 2θ = 33.94°, d 2.641, rel. 284, (0 0 6); 2θ = 34.96°, d 2.567, rel. 333, (1 0 5); 2θ = 36.86°, d 2.438, rel. 759, (1 1 4); 2θ = 41.27°, d 2.188, rel. 554, (2 0 0); 2θ = 45.13°, d 2.009, rel. 338, (1 1 6); 2θ = 47.48°, d 1.915, rel. 222, (2 0 4); 2θ = 54.46°, d 1.685, rel. 297, (2 0 6); 2θ = 59.78°, d 1.547, rel. 188, (2 2 0); 2θ = 72.34°, d 1.306, rel. 218, (3 1 4)

Structural model:
a b c (Å): 4.375 4.375 15.847
angles (deg): 90.00 90.00 90.00
Element x y z (fractional)
Er  0.000  0.000  0.168
Er  0.000  0.000  0.832
Er  0.500  0.500  0.332
Er  0.500  0.500  0.668
Mg  0.000  0.500  0.000
Mg  0.000  0.500  0.500
Mg  0.500  0.000  0.000
Mg  0.500  0.000  0.500
Sn  0.000  0.000  0.363
Sn  0.000  0.000  0.637
Sn  0.500  0.500  0.137
Sn  0.500  0.500  0.863


The following is a calculated X-ray powder pattern of Er2MgTl. It was derived from a cell relaxed with GGA-PBE, using copper Kα.

Principal peaks in the range 15 to 90 degrees two-theta, in order of rising 2θ:
2θ = 20.52°, d 4.329, rel. 221, (1 1 1); 2θ = 23.73°, d 3.749, rel. 45, (2 0 0); 2θ = 33.81°, d 2.651, rel. 1000, (2 2 0); 2θ = 39.88°, d 2.261, rel. 125, (3 1 1); 2θ = 48.57°, d 1.875, rel. 182, (4 0 0); 2θ = 53.25°, d 1.720, rel. 55, (3 3 1); 2θ = 54.75°, d 1.677, rel. 18, (4 2 0); 2θ = 60.49°, d 1.531, rel. 380, (4 2 2); 2θ = 64.59°, d 1.443, rel. 42, (5 1 1); 2θ = 71.13°, d 1.325, rel. 117, (4 4 0); 2θ = 74.93°, d 1.267, rel. 41, (5 3 1); 2θ = 81.12°, d 1.186, rel. 166, (6 2 0)

Structural model:
a b c (Å): 7.498 7.498 7.498
angles (deg): 90.00 90.00 90.00
Element x y z (fractional)
Er  0.250  0.250  0.250
Er  0.250  0.250  0.750
Er  0.250  0.750  0.250
Er  0.250  0.750  0.750
Er  0.750  0.250  0.250
Er  0.750  0.250  0.750
Er  0.750  0.750  0.250
Er  0.750  0.750  0.750
Mg  0.000  0.000  0.000
Mg  0.000  0.500  0.500
Mg  0.500  0.000  0.500
Mg  0.500  0.500  0.000
Tl  0.000  0.000  0.500
Tl  0.000  0.500  0.000
Tl  0.500  0.000  0.000
Tl  0.500  0.500  0.500